Record 1
Structure and computed PXRD pattern of Cr3Rh (a DFT-relaxed cell (GGA-PBE, the Materials Project); Cu Kα, 1.54184 Å).

```
data_Cr3Rh
_cell_length_a 4.6377
_cell_length_b 4.6377
_cell_length_c 4.6377
_cell_angle_alpha 90.00
_cell_angle_beta 90.00
_cell_angle_gamma 90.00
_space_group_name_H-M_alt 'P m -3 n'
_space_group_IT_number 223
_space_group_name_Hall '-P 4n 2 3'
loop_
_atom_site_label
_atom_site_fract_x
_atom_site_fract_y
_atom_site_fract_z
_atom_site_occupancy
Cr1 0.0000 0.2500 0.5000 1
Rh1 0.0000 0.0000 0.0000 1
```

Principal peaks in the range 5 to 70 degrees two-theta, by angle:
| 2θ/deg | I_rel | index |
| --- | --- | --- |
| 27.19 | 26 | 1 1 0 |
| 38.84 | 47 | 2 0 0 |
| 43.64 | 59 | 2 1 0 |
| 48.05 | 100 | 2 1 1 |
| 56.09 | 4 | 2 2 0 |
| 63.43 | 5 | 3 1 0 |

***

Record 2
Structure and computed PXRD pattern of CrRh3 (a DFT-relaxed cell (GGA-PBE, the Materials Project); Cu Kα, 1.54184 Å).

```
data_CrRh3
_cell_length_a 3.8082
_cell_length_b 3.8082
_cell_length_c 3.8082
_cell_angle_alpha 90.00
_cell_angle_beta 90.00
_cell_angle_gamma 90.00
_space_group_name_H-M_alt 'P m -3 m'
_space_group_IT_number 221
_space_group_name_Hall '-P 4 2 3'
loop_
_atom_site_label
_atom_site_fract_x
_atom_site_fract_y
_atom_site_fract_z
_atom_site_occupancy
Cr1 0.0000 0.0000 0.0000 1
Rh1 0.0000 0.5000 0.5000 1
```

Principal peaks in the range 5 to 70 degrees two-theta, by angle:
| 2θ/deg | I_rel | index |
| --- | --- | --- |
| 23.36 | 6 | 1 0 0 |
| 33.27 | 5 | 1 1 0 |
| 41.05 | 100 | 1 1 1 |
| 47.77 | 48 | 2 0 0 |
| 53.83 | 3 | 2 1 0 |
| 59.45 | 2 | 2 1 1 |
| 69.86 | 29 | 2 2 0 |

***

Record 3
Structure and computed PXRD pattern of CrSnRh2 (a DFT-relaxed cell (GGA-PBE, the Materials Project); Cu Kα, 1.54184 Å).

```
data_CrSnRh2
_cell_length_a 4.1080
_cell_length_b 4.1080
_cell_length_c 7.3065
_cell_angle_alpha 90.00
_cell_angle_beta 90.00
_cell_angle_gamma 90.00
_space_group_name_H-M_alt 'I 4/m m m'
_space_group_IT_number 139
_space_group_name_Hall '-I 4 2'
loop_
_atom_site_label
_atom_site_fract_x
_atom_site_fract_y
_atom_site_fract_z
_atom_site_occupancy
Cr1 0.0000 0.0000 0.0000 1
Sn1 0.0000 0.0000 0.5000 1
Rh1 0.0000 0.5000 0.2500 1
```

Principal peaks in the range 5 to 70 degrees two-theta, by angle:
| 2θ/deg | I_rel | index |
| --- | --- | --- |
| 24.36 | 1 | 0 0 2 |
| 24.87 | 10 | 1 0 1 |
| 30.78 | 1 | 1 1 0 |
| 39.64 | 100 | 1 1 2 |
| 43.18 | 3 | 1 0 3 |
| 44.09 | 37 | 2 0 0 |
| 49.93 | 13 | 0 0 4 |
| 51.28 | 3 | 2 1 1 |
| 63.42 | 2 | 2 1 3 |
| 64.12 | 12 | 2 2 0 |
| 68.10 | 1 | 1 0 5 |
| 68.78 | 19 | 2 0 4 |